No. 1
Diffraction record for BaPtO7. The powder XRD pattern is theoretical, not measured: it uses the GGA-PBE geometry in Alexandria and a wavelength of 1.5418 Å.
Peak positions follow from Bragg's law for the DFT cell and can differ from measured ones.

Cell: 7.164 4.925 8.198 Å, 90.00 110.06 90.00°
Space group P2_1/m (No. 11)
Unique sites:
1 Ba 0.248 0.250 0.422
2 Pt 0.373 0.750 0.798
3 O 0.139 0.015 0.720
4 O 0.143 0.250 0.825
5 O 0.350 0.750 0.060
6 O 0.360 0.750 0.553
7 O 0.394 0.509 0.167

Largest 10 diffraction maxima, in order of rising 2θ, 2θ from 10° to 90°:
2theta, I/Imax, h k l
13.16, 67, 1 0 0
14.20, 52, 1 0 -1
21.42, 100, 0 1 1
24.98, 33, 2 0 -1
27.26, 94, 1 1 1
28.83, 49, 1 1 -2
32.22, 46, 2 1 0
32.80, 49, 1 0 -3
34.03, 43, 2 1 -2
48.21, 37, 1 2 2

=====

No. 2
Diffraction record for Mg4AlCd7. The powder XRD pattern is theoretical, not measured: it uses the GGA-PBE geometry in Alexandria and a wavelength of 1.5418 Å.
Peak positions follow from Bragg's law for the DFT cell and can differ from measured ones.

Cell: 5.181 6.465 8.386 Å, 71.51 89.95 89.00°
Space group P-1 (No. 2)
Unique sites:
1 Mg 0.242 0.393 0.209
2 Mg 0.242 0.899 0.237
3 Al 0.000 0.500 0.500
4 Cd 0.249 0.039 0.564
5 Cd 0.249 0.317 0.861
6 Cd 0.258 0.795 0.916
7 Cd 0.500 0.500 0.500

Largest 10 diffraction maxima, in order of rising 2θ, 2θ from 10° to 90°:
2theta, I/Imax, h k l
20.48, 84, 1 0 1
22.36, 33, 0 0 2
27.67, 100, 0 2 1
34.59, 95, 2 0 0
35.11, 61, 1 2 2
35.54, 35, -1 2 2
36.76, 47, -1 1 3
38.06, 33, 1 0 -3
38.21, 64, 1 0 3
38.51, 34, 1 2 -1

=====

No. 3
Diffraction record for KNa2C2O6. The powder XRD pattern is theoretical, not measured: it uses the GGA-PBE geometry in Alexandria and a wavelength of 1.5418 Å.
Peak positions follow from Bragg's law for the DFT cell and can differ from measured ones.

Cell: 5.537 5.992 6.062 Å, 93.90 109.86 113.46°
Space group P-1 (No. 2)
Unique sites:
1 K 0.000 0.000 0.000
2 Na 0.383 0.649 0.280
3 C 0.295 0.738 0.748
4 O 0.132 0.609 0.850
5 O 0.297 0.946 0.706
6 O 0.458 0.660 0.692

Largest 10 diffraction maxima, in order of rising 2θ, 2θ from 10° to 90°:
2theta, I/Imax, h k l
20.19, 66, 0 1 -1
29.61, 75, 1 0 1
30.20, 100, 1 -2 0
30.62, 79, 1 1 0
32.31, 31, 0 0 2
32.75, 52, -2 1 1
34.15, 32, -1 1 2
38.47, 30, -2 2 1
45.00, 23, 2 1 -1
47.17, 27, 1 1 -3

=====

No. 4
Diffraction record for La2PtCl2. The powder XRD pattern is theoretical, not measured: it uses the GGA-PBE geometry in Alexandria and a wavelength of 1.5418 Å.
Peak positions follow from Bragg's law for the DFT cell and can differ from measured ones.

Cell: 7.282 4.208 10.346 Å, 90.00 90.08 90.00°
Space group C2/m (No. 12)
Unique sites:
1 La 0.168 0.000 0.334
2 Pt 0.000 0.500 0.500
3 Cl 0.165 0.000 0.835

Largest 10 diffraction maxima, in order of rising 2θ, 2θ from 10° to 90°:
2theta, I/Imax, h k l
25.92, 29, 1 1 -1
25.95, 14, 2 0 1
30.00, 100, 2 0 2
35.86, 37, 2 0 -3
42.88, 37, 1 1 4
43.01, 37, 3 1 0
43.94, 21, 3 1 1
53.33, 19, 2 2 2
70.64, 17, 3 1 6
70.82, 17, 5 1 2

=====

No. 5
Diffraction record for TbPm2DySc. The powder XRD pattern is theoretical, not measured: it uses the GGA-PBE geometry in Alexandria and a wavelength of 1.5418 Å.
Peak positions follow from Bragg's law for the DFT cell and can differ from measured ones.

Cell: 8.220 11.366 7.147 Å, 90.00 90.00 90.00°
Space group Cmcm (No. 63)
Unique sites:
1 Tb 0.000 0.231 0.250
2 Pm 0.199 0.000 0.000
3 Dy 0.000 0.237 0.750
4 Sc 0.000 0.495 0.250

Largest 10 diffraction maxima, in order of rising 2θ, 2θ from 10° to 90°:
2theta, I/Imax, h k l
26.77, 100, 2 2 0
29.53, 98, 0 2 2
31.48, 52, 0 4 0
33.22, 82, 2 0 2
36.24, 19, 1 3 2
40.64, 19, 3 3 0
46.42, 58, 2 4 2
51.12, 15, 0 0 4
58.63, 23, 2 2 4
61.28, 15, 0 4 4

=====

No. 6
Diffraction record for K2NaHg5. The powder XRD pattern is theoretical, not measured: it uses the GGA-PBE geometry in Alexandria and a wavelength of 1.5418 Å.
Peak positions follow from Bragg's law for the DFT cell and can differ from measured ones.

Cell: 5.692 5.692 15.423 Å, 90.00 90.00 90.00°
Space group I4/mmm (No. 139)
Unique sites:
1 K 0.000 0.000 0.242
2 Na 0.000 0.000 0.500
3 Hg 0.000 0.000 0.000
4 Hg 0.000 0.500 0.105

Largest 10 diffraction maxima, in order of rising 2θ, 2θ from 10° to 90°:
2theta, I/Imax, h k l
11.48, 29, 0 0 2
16.60, 15, 1 0 1
22.09, 29, 1 1 0
31.44, 64, 2 0 0
32.15, 100, 1 1 4
41.69, 24, 1 1 6
45.05, 24, 2 2 0
56.42, 41, 3 1 4
63.05, 14, 3 1 6
74.57, 11, 4 2 0

=====

No. 7
Diffraction record for Ta5Nb4Sn. The powder XRD pattern is theoretical, not measured: it uses the GGA-PBE geometry in Alexandria and a wavelength of 1.5418 Å.
Peak positions follow from Bragg's law for the DFT cell and can differ from measured ones.

Cell: 17.259 3.310 6.820 Å, 90.00 96.53 90.00°
Space group C2/m (No. 12)
Unique sites:
1 Ta 0.000 0.000 0.000
2 Ta 0.114 0.500 0.810
3 Ta 0.231 0.500 0.153
4 Nb 0.084 0.500 0.253
5 Nb 0.177 0.000 0.501
6 Sn 0.000 0.000 0.500

Largest 10 diffraction maxima, in order of rising 2θ, 2θ from 10° to 90°:
2theta, I/Imax, h k l
31.23, 21, 3 1 0
33.26, 49, 3 1 -1
35.45, 25, 6 0 1
35.60, 19, 4 0 2
37.77, 33, 5 1 0
37.95, 22, 1 1 -2
38.83, 100, 6 0 -2
42.49, 21, 3 1 2
55.53, 20, 0 2 0
69.84, 20, 6 2 -2